(1)
Computed PXRD pattern of Np2ReB10 for λ = 1.5418 Å (Cu Kα), from DFT lattice parameters and positions (PBE).
Neutral-atom scattering factors, no anomalous dispersion.

Principal peaks in the range 2θ = 15–90°, in order of falling intensity:
2theta  I (rel.)
30.9  100.0
22.1  83.8
38.4  58.6
38.2  55.9
45.0  36.2
27.7  29.5

Structure:
a = 5.715 Å, b = 11.372 Å, c = 4.149 Å
α = 90.00°, β = 90.00°, γ = 90.00°
Sites, in units of the cell vectors:
Np  0.226  0.131  0.000
Np  0.274  0.631  0.000
Np  0.726  0.369  0.000
Np  0.774  0.869  0.000
Re  0.000  0.500  0.500
Re  0.500  0.000  0.500
B  0.068  0.305  0.500
B  0.116  0.958  0.500
B  0.124  0.803  0.500
B  0.230  0.380  0.198
B  0.230  0.380  0.802
B  0.270  0.880  0.198
B  0.270  0.880  0.802
B  0.376  0.303  0.500
B  0.384  0.458  0.500
B  0.432  0.805  0.500
B  0.568  0.195  0.500
B  0.616  0.542  0.500
B  0.624  0.697  0.500
B  0.730  0.120  0.198
B  0.730  0.120  0.802
B  0.770  0.620  0.198
B  0.770  0.620  0.802
B  0.876  0.197  0.500
B  0.884  0.042  0.500
B  0.932  0.695  0.500



(2)
Computed PXRD pattern of NpBRh3 for λ = 1.5418 Å (Cu Kα), from DFT lattice parameters and positions (PBE).
Neutral-atom scattering factors, no anomalous dispersion.

Principal peaks in the range 2θ = 15–90°, in order of falling intensity:
2theta  I (rel.)
37.4  100.0
38.3  42.0
47.1  22.7
27.3  21.0
34.9  20.9
37.7  17.1

Structure:
a = 8.010 Å, b = 3.862 Å, c = 9.549 Å
α = 90.00°, β = 90.00°, γ = 90.00°
Sites, in units of the cell vectors:
Np  0.183  0.250  0.010
Np  0.317  0.750  0.510
Np  0.683  0.250  0.490
Np  0.817  0.750  0.990
B  0.103  0.250  0.660
B  0.397  0.750  0.160
B  0.603  0.250  0.840
B  0.897  0.750  0.340
Rh  0.083  0.250  0.432
Rh  0.118  0.750  0.215
Rh  0.136  0.750  0.778
Rh  0.364  0.250  0.278
Rh  0.382  0.250  0.715
Rh  0.417  0.750  0.932
Rh  0.583  0.250  0.068
Rh  0.618  0.750  0.285
Rh  0.636  0.750  0.722
Rh  0.864  0.250  0.222
Rh  0.882  0.250  0.785
Rh  0.917  0.750  0.568



(3)
Computed PXRD pattern of NpB3Rh6 for λ = 1.5418 Å (Cu Kα), from DFT lattice parameters and positions (PBE).
Neutral-atom scattering factors, no anomalous dispersion.

Principal peaks in the range 2θ = 15–90°, in order of falling intensity:
2theta  I (rel.)
38.6  100.0
37.3  98.4
48.4  74.9
34.4  72.4
40.0  47.1
29.7  44.4

Structure:
a = 6.085 Å, b = 6.085 Å, c = 6.085 Å
α = 53.12°, β = 53.12°, γ = 53.12°
Sites, in units of the cell vectors:
Np  0.000  0.000  0.000
B  0.299  0.299  0.299
B  0.633  0.633  0.633
B  0.833  0.833  0.833
Rh  0.063  0.593  0.534
Rh  0.277  0.487  0.881
Rh  0.487  0.881  0.277
Rh  0.534  0.063  0.593
Rh  0.593  0.534  0.063
Rh  0.881  0.277  0.487



(4)
Computed PXRD pattern of Np2BRu5 for λ = 1.5418 Å (Cu Kα), from DFT lattice parameters and positions (PBE).
Neutral-atom scattering factors, no anomalous dispersion.

Principal peaks in the range 2θ = 15–90°, in order of falling intensity:
2theta  I (rel.)
39.9  100.0
36.4  94.0
38.0  85.9
39.5  84.5
43.0  80.1
30.7  52.7

Structure:
a = 6.961 Å, b = 5.822 Å, c = 12.576 Å
α = 90.00°, β = 90.00°, γ = 90.00°
Sites, in units of the cell vectors:
Np  0.001  0.250  0.201
Np  0.167  0.250  0.583
Np  0.333  0.750  0.083
Np  0.499  0.750  0.701
Np  0.501  0.250  0.299
Np  0.667  0.250  0.917
Np  0.833  0.750  0.417
Np  0.999  0.750  0.799
B  0.181  0.250  0.931
B  0.319  0.750  0.431
B  0.681  0.250  0.569
B  0.819  0.750  0.069
Ru  0.000  0.000  0.000
Ru  0.000  0.500  0.000
Ru  0.016  0.750  0.198
Ru  0.151  0.750  0.568
Ru  0.166  0.010  0.357
Ru  0.166  0.490  0.357
Ru  0.334  0.510  0.857
Ru  0.334  0.990  0.857
Ru  0.349  0.250  0.068
Ru  0.484  0.250  0.698
Ru  0.500  0.000  0.500
Ru  0.500  0.500  0.500
Ru  0.516  0.750  0.302
Ru  0.651  0.750  0.932
Ru  0.666  0.010  0.143
Ru  0.666  0.490  0.143
Ru  0.834  0.510  0.643
Ru  0.834  0.990  0.643
Ru  0.849  0.250  0.432
Ru  0.984  0.250  0.802



(5)
Computed PXRD pattern of NpBS4 for λ = 1.5418 Å (Cu Kα), from DFT lattice parameters and positions (PBE).
Neutral-atom scattering factors, no anomalous dispersion.

Principal peaks in the range 2θ = 15–90°, in order of falling intensity:
2theta  I (rel.)
20.0  100.0
36.5  71.3
21.2  50.0
34.3  42.8
40.7  22.0
43.4  22.0

Structure:
a = 5.359 Å, b = 5.359 Å, c = 5.359 Å
α = 112.90°, β = 112.90°, γ = 102.81°
Sites, in units of the cell vectors:
Np  0.000  0.000  0.000
B  0.750  0.250  0.500
S  0.118  0.202  0.590
S  0.472  0.882  0.084
S  0.612  0.528  0.410
S  0.798  0.388  0.916



(6)
Computed PXRD pattern of NpB2Se6 for λ = 1.5418 Å (Cu Kα), from DFT lattice parameters and positions (PBE).
Neutral-atom scattering factors, no anomalous dispersion.

Principal peaks in the range 2θ = 15–90°, in order of falling intensity:
2theta  I (rel.)
20.4  100.0
34.3  94.7
31.1  75.4
34.2  74.7
36.4  64.2
25.3  62.9

Structure:
a = 8.034 Å, b = 8.034 Å, c = 6.237 Å
α = 102.22°, β = 102.22°, γ = 84.85°
Sites, in units of the cell vectors:
Np  0.177  0.823  0.750
Np  0.823  0.177  0.250
B  0.244  0.355  0.795
B  0.355  0.244  0.295
B  0.645  0.756  0.705
B  0.756  0.645  0.205
Se  0.077  0.163  0.665
Se  0.143  0.555  0.007
Se  0.163  0.077  0.165
Se  0.269  0.455  0.524
Se  0.445  0.857  0.493
Se  0.455  0.269  0.024
Se  0.545  0.731  0.976
Se  0.555  0.143  0.507
Se  0.731  0.545  0.476
Se  0.837  0.923  0.835
Se  0.857  0.445  0.993
Se  0.923  0.837  0.335